1.
CeTmSi2Ni2: simulated powder XRD pattern (Cu Kα X-rays), based on a DFT-relaxed cell (PBE, Alexandria).
Kinematic intensities with the Lorentz-polarization factor, no thermal factor.

Largest 6 diffraction maxima, in order of rising 2θ, 2θ from 10° to 90°:
| d [Å] | Rel. int. | h k l |
| --- | --- | --- |
| 3.509 | 31 | 1 0 0 |
| 2.582 | 100 | 0 1 2 |
| 2.026 | 37 | 1 1 0 |
| 1.594 | 23 | 2 0 2 |
| 1.389 | 21 | 1 1 4 |
| 1.253 | 20 | 1 2 2 |

Atomic structure:
Lattice parameters (Å, degrees): 4.0518 4.0518 7.6282 90.00 90.00 120.00
Space group P-3m1 (No. 164)
Symmetry-distinct sites (fractional):
Ce (0.0000, 0.0000, 0.0000) (multiplicity 1)
Tm (0.0000, 0.0000, 0.5000) (multiplicity 1)
Si (0.3333, 0.6667, 0.2565) (multiplicity 2)
Ni (0.3333, 0.6667, 0.7347) (multiplicity 2)

---

2.
TaInS4: simulated powder XRD pattern (Cu Kα X-rays), based on a DFT-relaxed cell (PBE, Alexandria).
Kinematic intensities with the Lorentz-polarization factor, no thermal factor.

Largest 6 diffraction maxima, in order of rising 2θ, 2θ from 10° to 90°:
| d [Å] | Rel. int. | h k l |
| --- | --- | --- |
| 5.097 | 100 | 1 0 1 |
| 3.238 | 72 | 1 1 2 |
| 2.987 | 24 | 1 0 3 |
| 2.534 | 30 | 1 2 1 |
| 1.945 | 28 | 2 0 4 |
| 1.741 | 23 | 3 1 2 |

Atomic structure:
Lattice parameters (Å, degrees): 5.8416 5.8416 10.4289 90.00 90.00 90.00
Space group I-4 (No. 82)
Symmetry-distinct sites (fractional):
Ta (0.0000, 0.0000, 0.0000) (multiplicity 2)
In (0.0000, 0.5000, 0.7500) (multiplicity 2)
S (0.2298, 0.2364, 0.1194) (multiplicity 8)

---

3.
ThCo4H7: simulated powder XRD pattern (Cu Kα X-rays), based on a DFT-relaxed cell (PBE, Alexandria).
Kinematic intensities with the Lorentz-polarization factor, no thermal factor.

Largest 6 diffraction maxima, in order of rising 2θ, 2θ from 10° to 90°:
| d [Å] | Rel. int. | h k l |
| --- | --- | --- |
| 2.868 | 44 | 0 3 1 |
| 2.757 | 42 | 1 3 0 |
| 2.717 | 23 | 1 0 1 |
| 2.487 | 100 | 1 2 1 |
| 2.103 | 27 | 0 5 1 |
| 2.058 | 24 | 1 5 0 |

Atomic structure:
Lattice parameters (Å, degrees): 3.7072 12.3730 3.9920 90.00 90.00 90.00
Space group Pmmn (No. 59, origin choice 2)
Symmetry-distinct sites (fractional):
Th (0.2500, 0.2500, 0.2355) (multiplicity 2)
Co (0.2500, 0.5015, 0.7395) (multiplicity 4)
Co (0.2500, 0.6382, 0.2348) (multiplicity 4)
H (0.2500, 0.0004, 0.2851) (multiplicity 4)
H (0.2500, 0.1351, 0.7424) (multiplicity 4)
H (0.2500, 0.6307, 0.8240) (multiplicity 4)
H (0.2500, 0.7500, 0.4216) (multiplicity 2)

---

4.
Li3Mg6In: simulated powder XRD pattern (Cu Kα X-rays), based on a DFT-relaxed cell (PBE, Alexandria).
Kinematic intensities with the Lorentz-polarization factor, no thermal factor.

Largest 6 diffraction maxima, in order of rising 2θ, 2θ from 10° to 90°:
| d [Å] | Rel. int. | h k l |
| --- | --- | --- |
| 7.511 | 100 | 1 0 -1 |
| 5.154 | 54 | 1 0 -2 |
| 2.539 | 45 | 0 2 0 |
| 2.407 | 76 | 1 1 -4 |
| 2.392 | 47 | 2 1 2 |
| 2.384 | 58 | 3 1 -2 |

Atomic structure:
Lattice parameters (Å, degrees): 8.2400 5.0779 10.9349 90.00 109.11 90.00
Space group P2_1/m (No. 11)
Symmetry-distinct sites (fractional):
Li (0.0997, 0.2500, 0.2318) (multiplicity 2)
Li (0.3010, 0.2500, 0.0309) (multiplicity 2)
Li (0.3078, 0.7500, 0.3724) (multiplicity 2)
Mg (0.0905, 0.2500, 0.7312) (multiplicity 2)
Mg (0.0991, 0.7500, 0.0703) (multiplicity 2)
Mg (0.2984, 0.2500, 0.5271) (multiplicity 2)
Mg (0.2980, 0.7500, 0.8709) (multiplicity 2)
Mg (0.4903, 0.2500, 0.3286) (multiplicity 2)
Mg (0.4971, 0.7500, 0.1677) (multiplicity 2)
In (0.1093, 0.7500, 0.5734) (multiplicity 2)

---

5.
TlIn2Bi2Pb4: simulated powder XRD pattern (Cu Kα X-rays), based on a DFT-relaxed cell (PBE, Alexandria).
Kinematic intensities with the Lorentz-polarization factor, no thermal factor.

Largest 6 diffraction maxima, in order of rising 2θ, 2θ from 10° to 90°:
| d [Å] | Rel. int. | h k l |
| --- | --- | --- |
| 2.869 | 100 | 2 0 -1 |
| 2.840 | 99 | -1 2 1 |
| 2.818 | 95 | 0 2 -2 |
| 2.792 | 93 | 1 0 2 |
| 2.468 | 71 | 2 -2 1 |
| 1.738 | 68 | 3 0 1 |

Atomic structure:
Lattice parameters (Å, degrees): 6.0945 6.9513 7.6524 102.78 98.19 107.21
Space group P-1 (No. 2)
Symmetry-distinct sites (fractional):
Tl (0.0000, 0.0000, 0.0000) (multiplicity 1)
In (0.2024, 0.3996, 0.3872) (multiplicity 2)
Bi (0.3930, 0.3028, 0.7911) (multiplicity 2)
Pb (0.2000, 0.8828, 0.3871) (multiplicity 2)
Pb (0.3794, 0.7834, 0.7987) (multiplicity 2)

---

6.
Gd2Er4H: simulated powder XRD pattern (Cu Kα X-rays), based on a DFT-relaxed cell (PBE, Alexandria).
Kinematic intensities with the Lorentz-polarization factor, no thermal factor.

Largest 6 diffraction maxima, in order of rising 2θ, 2θ from 10° to 90°:
| d [Å] | Rel. int. | h k l |
| --- | --- | --- |
| 3.152 | 57 | 1 1 2 |
| 2.831 | 28 | 0 0 6 |
| 2.652 | 100 | 1 1 4 |
| 2.401 | 48 | 2 0 0 |
| 1.831 | 31 | 2 0 6 |
| 1.430 | 30 | 3 1 4 |

Atomic structure:
Lattice parameters (Å, degrees): 4.8013 4.8013 16.9856 90.00 90.00 90.00
Space group I4/mmm (No. 139)
Symmetry-distinct sites (fractional):
Gd (0.0000, 0.0000, 0.1493) (multiplicity 4)
Er (0.0000, 0.0000, 0.3521) (multiplicity 4)
Er (0.0000, 0.5000, 0.0000) (multiplicity 4)
H (0.0000, 0.0000, 0.5000) (multiplicity 2)

---

7.
Cu2W3Se6: simulated powder XRD pattern (Cu Kα X-rays), based on a DFT-relaxed cell (PBE, Alexandria).
Kinematic intensities with the Lorentz-polarization factor, no thermal factor.

Largest 6 diffraction maxima, in order of rising 2θ, 2θ from 10° to 90°:
| d [Å] | Rel. int. | h k l |
| --- | --- | --- |
| 7.463 | 100 | 0 0 2 |
| 2.886 | 48 | 1 3 0 |
| 2.496 | 83 | 1 3 3 |
| 2.075 | 93 | 0 6 5 |
| 1.666 | 37 | 2 0 0 |
| 1.243 | 22 | 2 0 8 |

Atomic structure:
Lattice parameters (Å, degrees): 3.3301 17.3295 14.9266 90.00 90.00 90.00
Space group Cmc2_1 (No. 36)
Symmetry-distinct sites (fractional):
Cu (0.0000, 0.0469, 0.0000) (multiplicity 4)
Cu (0.0000, 0.2866, 0.9593) (multiplicity 4)
W (0.0000, 0.0569, 0.2289) (multiplicity 4)
W (0.0000, 0.2792, 0.7301) (multiplicity 4)
W (0.0000, 0.3907, 0.2290) (multiplicity 4)
Se (0.0000, 0.0543, 0.8410) (multiplicity 4)
Se (0.0000, 0.0559, 0.6143) (multiplicity 4)
Se (0.0000, 0.2781, 0.1184) (multiplicity 4)
Se (0.0000, 0.2782, 0.3453) (multiplicity 4)
Se (0.0000, 0.3881, 0.6118) (multiplicity 4)
Se (0.0000, 0.3899, 0.8451) (multiplicity 4)

---

8.
Li4SiS4: simulated powder XRD pattern (Cu Kα X-rays), based on a DFT-relaxed cell (PBE, Alexandria).
Kinematic intensities with the Lorentz-polarization factor, no thermal factor.

Largest 6 diffraction maxima, in order of rising 2θ, 2θ from 10° to 90°:
| d [Å] | Rel. int. | h k l |
| --- | --- | --- |
| 4.991 | 47 | 1 1 1 |
| 3.309 | 62 | 1 1 2 |
| 3.290 | 100 | 2 2 0 |
| 2.978 | 57 | 2 0 2 |
| 2.937 | 35 | 0 2 2 |
| 1.903 | 46 | 3 3 2 |

Atomic structure:
Lattice parameters (Å, degrees): 9.4609 9.1593 7.6569 90.00 90.00 90.00
Space group Cmcm (No. 63)
Symmetry-distinct sites (fractional):
Li (0.1546, 0.2295, 0.2500) (multiplicity 8)
Li (0.1678, 0.5000, 0.0000) (multiplicity 8)
Si (0.0000, 0.1646, 0.7500) (multiplicity 4)
S (0.0000, 0.2969, 0.5172) (multiplicity 8)
S (0.1903, 0.0390, 0.7500) (multiplicity 8)